# 1
Computed powder XRD pattern of Ca2W2O5 for a wavelength of 1.5418 Å, from a GGA+U-relaxed structure.

Most intense lines, 10 to 90 degrees two-theta, low angle first:
- 2θ = 15.92°, d 5.567, I = 235, hkl 0 2 0
- 2θ = 18.21°, d 4.872, I = 469, hkl 1 1 0
- 2θ = 22.91°, d 3.881, I = 1000, hkl 0 0 1
- 2θ = 28.03°, d 3.183, I = 260, hkl 0 2 1
- 2θ = 29.43°, d 3.035, I = 505, hkl 1 1 1
- 2θ = 32.63°, d 2.745, I = 698, hkl 1 2 1
- 2θ = 36.29°, d 2.476, I = 353, hkl 1 4 0
- 2θ = 41.26°, d 2.188, I = 399, hkl 2 3 0
- 2θ = 46.82°, d 1.940, I = 257, hkl 0 0 2
- 2θ = 47.72°, d 1.906, I = 400, hkl 2 3 1

Atomic structure:
```
data_Ca2W2O5
_chemical_formula_sum 'Ca4 W4 O10'
_symmetry_space_group_name_H-M 'P b a m'
_symmetry_Int_Tables_number 55
_symmetry_space_group_name_Hall '-P 2 2ab'
_cell_length_a 5.4177
_cell_length_b 11.1334
_cell_length_c 3.8803
_cell_angle_alpha 90.00
_cell_angle_beta 90.00
_cell_angle_gamma 90.00
loop_
_atom_site_label
_atom_site_fract_x
_atom_site_fract_y
_atom_site_fract_z
Ca1 0.1490 0.1563 0.0000
W1 0.1454 0.4163 0.5000
O1 0.0000 0.0000 0.5000
O2 0.0888 0.7188 0.5000
O3 0.2175 0.3850 0.0000
```



# 2
Computed powder XRD pattern of Ca2W9O13 for a wavelength of 1.5418 Å, from a GGA+U-relaxed structure.

Most intense lines, 10 to 90 degrees two-theta, low angle first:
- 2θ = 29.18°, d 3.060, I = 1000, hkl 0 1 5
- 2θ = 31.58°, d 2.833, I = 402, hkl 1 0 3
- 2θ = 33.02°, d 2.713, I = 618, hkl 0 2 -1
- 2θ = 34.75°, d 2.582, I = 922, hkl 1 1 -3
- 2θ = 35.24°, d 2.547, I = 359, hkl 1 -1 0
- 2θ = 36.88°, d 2.437, I = 270, hkl -1 1 2
- 2θ = 37.22°, d 2.416, I = 475, hkl 1 0 5
- 2θ = 40.18°, d 2.244, I = 418, hkl 1 2 2
- 2θ = 57.16°, d 1.611, I = 208, hkl 1 -2 6
- 2θ = 58.57°, d 1.576, I = 474, hkl 1 1 10

Atomic structure:
```
data_Ca2W9O13
_chemical_formula_sum 'Ca2 W9 O13'
_symmetry_space_group_name_H-M 'P -1'
_symmetry_Int_Tables_number 2
_symmetry_space_group_name_Hall '-P 1'
_cell_length_a 3.1929
_cell_length_b 5.6152
_cell_length_c 17.9251
_cell_angle_alpha 87.16
_cell_angle_beta 86.89
_cell_angle_gamma 79.90
loop_
_atom_site_label
_atom_site_fract_x
_atom_site_fract_y
_atom_site_fract_z
Ca1 0.0121 0.1180 0.2677
W1 0.1475 0.1834 0.4717
W2 0.1761 0.3686 0.8336
W3 0.2583 0.0132 0.0641
W4 0.4279 0.3661 0.6245
W5 0.5000 0.5000 0.0000
O1 0.0000 0.1130 0.5935
O2 0.0110 0.3939 0.0730
O3 0.1626 0.3663 0.3657
O4 0.2509 0.0020 0.8592
O5 0.3798 0.1870 0.7299
O6 0.3830 0.4155 0.2094
O7 0.5000 0.5000 0.5000
```



# 3
Computed powder XRD pattern of CaW2O6 for a wavelength of 1.5418 Å, from a GGA+U-relaxed structure.

Most intense lines, 10 to 90 degrees two-theta, low angle first:
- 2θ = 22.67°, d 3.922, I = 1000, hkl 1 1 0
- 2θ = 22.82°, d 3.896, I = 485, hkl 0 0 2
- 2θ = 31.95°, d 2.801, I = 237, hkl 0 2 0
- 2θ = 32.39°, d 2.764, I = 919, hkl 1 1 2
- 2θ = 32.60°, d 2.747, I = 223, hkl 2 0 0
- 2θ = 46.29°, d 1.961, I = 266, hkl 2 2 0
- 2θ = 52.22°, d 1.752, I = 220, hkl 2 2 2
- 2θ = 52.44°, d 1.745, I = 213, hkl 1 1 -4
- 2θ = 57.20°, d 1.611, I = 140, hkl 1 -3 2
- 2θ = 58.04°, d 1.589, I = 309, hkl 3 1 2

Atomic structure:
```
data_CaW2O6
_chemical_formula_sum 'Ca2 W4 O12'
_symmetry_space_group_name_H-M 'P 1'
_symmetry_Int_Tables_number 1
_symmetry_space_group_name_Hall 'P 1'
_cell_length_a 5.4938
_cell_length_b 5.6022
_cell_length_c 7.7929
_cell_angle_alpha 90.11
_cell_angle_beta 90.01
_cell_angle_gamma 90.05
loop_
_atom_site_label
_atom_site_fract_x
_atom_site_fract_y
_atom_site_fract_z
Ca1 0.0000 0.0000 0.0000
Ca2 0.4967 0.4072 0.5017
W1 0.0094 0.4545 0.7501
W2 0.0101 0.4594 0.2507
W3 0.5091 0.9493 0.2503
W4 0.5119 0.9439 0.7502
O1 0.0746 0.4339 0.0071
O2 0.2169 0.1852 0.2871
O3 0.2218 0.1782 0.7202
O4 0.2994 0.6542 0.2954
O5 0.3071 0.6557 0.7050
O6 0.4300 0.9340 0.9952
O7 0.5699 0.9728 0.5071
O8 0.7312 0.2282 0.7884
O9 0.7310 0.2405 0.2211
O10 0.8124 0.7371 0.7937
O11 0.8203 0.7389 0.2057
O12 0.9224 0.4691 0.4961
```



# 4
Computed powder XRD pattern of Ca2WO6 for a wavelength of 1.5418 Å, from a GGA+U-relaxed structure.

Most intense lines, 10 to 90 degrees two-theta, low angle first:
- 2θ = 17.40°, d 5.098, I = 338, hkl 0 0 2
- 2θ = 19.34°, d 4.589, I = 1000, hkl 1 0 1
- 2θ = 24.50°, d 3.634, I = 963, hkl 1 1 0
- 2θ = 30.20°, d 2.959, I = 258, hkl 1 1 2
- 2θ = 31.56°, d 2.835, I = 731, hkl 1 0 3
- 2θ = 34.92°, d 2.569, I = 174, hkl 2 0 0
- 2θ = 40.23°, d 2.242, I = 237, hkl 2 1 1
- 2θ = 47.78°, d 1.904, I = 639, hkl 2 1 3
- 2θ = 50.22°, d 1.817, I = 176, hkl 2 2 0
- 2θ = 60.53°, d 1.530, I = 196, hkl 3 0 3

Atomic structure:
```
data_Ca2WO6
_chemical_formula_sum 'Ca4 W2 O12'
_symmetry_space_group_name_H-M 'P 42/m n m'
_symmetry_Int_Tables_number 136
_symmetry_space_group_name_Hall '-P 4n 2n'
_cell_length_a 5.1387
_cell_length_b 5.1387
_cell_length_c 10.1955
_cell_angle_alpha 90.00
_cell_angle_beta 90.00
_cell_angle_gamma 90.00
loop_
_atom_site_label
_atom_site_fract_x
_atom_site_fract_y
_atom_site_fract_z
Ca1 0.0000 0.0000 0.1692
W1 0.0000 0.0000 0.5000
O1 0.1831 0.1831 0.3607
O2 0.2332 0.2332 0.0000
```